1.
The following is a simulated XRD peak list of Cr2OsRh9. It was derived from a crystal structure in Alexandria, relaxed with GGA-PBE, using Cu Kα.

The 8 most intense peaks (5° ≤ 2θ ≤ 70°), low angle first:
d/Å  Position (°2θ)  I_rel
11.470  7.71  13
5.735  15.45  3
3.624  24.56  4
3.179  28.07  3
2.206  40.91  100
1.966  46.16  2
1.911  47.60  48
1.351  69.59  30

Atomic structure:
a = 3.820 Å, b = 3.820 Å, c = 11.470 Å
α = 90.00°, β = 90.00°, γ = 90.00°
Atoms (fractional coordinates):
Cr (0.000, 0.000, 0.161)
Cr (0.000, 0.000, 0.839)
Os (0.000, 0.000, 0.500)
Rh (0.000, 0.500, 0.000)
Rh (0.000, 0.500, 0.334)
Rh (0.000, 0.500, 0.666)
Rh (0.500, 0.000, 0.000)
Rh (0.500, 0.000, 0.334)
Rh (0.500, 0.000, 0.666)
Rh (0.500, 0.500, 0.167)
Rh (0.500, 0.500, 0.500)
Rh (0.500, 0.500, 0.833)


2.
The following is a simulated XRD peak list of In12Ga3Pb. It was derived from a crystal structure in Alexandria, relaxed with GGA-PBE, using Cu Kα.

The 8 most intense peaks (5° ≤ 2θ ≤ 70°), low angle first:
d/Å  Position (°2θ)  I_rel
2.704  33.13  100
2.539  35.36  21
2.403  37.43  16
2.139  42.26  13
1.745  52.43  12
1.636  56.24  11
1.496  62.06  16
1.352  69.53  10

Atomic structure:
a = 4.277 Å, b = 19.222 Å, c = 5.077 Å
α = 90.00°, β = 90.06°, γ = 90.00°
Atoms (fractional coordinates):
In (0.000, 0.000, 0.000)
In (0.000, 0.121, 0.500)
In (0.000, 0.245, 0.000)
In (0.000, 0.360, 0.500)
In (0.000, 0.500, 0.000)
In (0.000, 0.640, 0.500)
In (0.000, 0.755, 0.000)
In (0.000, 0.879, 0.500)
In (0.500, 0.123, 0.000)
In (0.500, 0.371, 0.000)
In (0.500, 0.629, 0.000)
In (0.500, 0.877, 0.000)
Ga (0.500, 0.000, 0.500)
Ga (0.500, 0.240, 0.500)
Ga (0.500, 0.760, 0.500)
Pb (0.500, 0.500, 0.500)


3.
The following is a simulated XRD peak list of LaMnAg2Cl8. It was derived from a crystal structure in Alexandria, relaxed with GGA-PBE, using Cu Kα.

The 8 most intense peaks (5° ≤ 2θ ≤ 70°), low angle first:
d/Å  Position (°2θ)  I_rel
5.215  17.00  100
4.633  19.15  74
4.092  21.72  91
3.506  25.41  80
3.280  27.19  66
3.158  28.26  81
2.659  33.71  56
2.317  38.87  59

Atomic structure:
a = 6.696 Å, b = 6.759 Å, c = 8.089 Å
α = 91.95°, β = 103.59°, γ = 102.91°
Atoms (fractional coordinates):
La (0.000, 0.000, 0.000)
Mn (0.000, 0.000, 0.500)
Ag (0.309, 0.539, 0.793)
Ag (0.691, 0.461, 0.207)
Cl (0.184, 0.875, 0.326)
Cl (0.223, 0.311, 0.520)
Cl (0.256, 0.907, 0.792)
Cl (0.258, 0.391, 0.078)
Cl (0.742, 0.609, 0.922)
Cl (0.744, 0.093, 0.208)
Cl (0.777, 0.689, 0.480)
Cl (0.816, 0.125, 0.674)


4.
The following is a simulated XRD peak list of Pm2Ho3Er8. It was derived from a crystal structure in Alexandria, relaxed with GGA-PBE, using Cu Kα.

The 8 most intense peaks (5° ≤ 2θ ≤ 70°), low angle first:
d/Å  Position (°2θ)  I_rel
3.545  25.12  17
3.022  29.56  27
2.913  30.70  29
2.752  32.53  37
2.664  33.64  100
2.574  34.85  14
2.173  41.55  11
1.571  58.76  21

Atomic structure:
a = 10.968 Å, b = 10.968 Å, c = 5.504 Å
α = 90.01°, β = 90.01°, γ = 40.27°
Atoms (fractional coordinates):
Pm (0.241, 0.241, 0.499)
Pm (0.759, 0.759, 0.501)
Ho (0.000, 0.000, 0.500)
Ho (0.286, 0.714, 0.000)
Ho (0.714, 0.286, 0.000)
Er (0.129, 0.129, 0.000)
Er (0.179, 0.606, 0.500)
Er (0.338, 0.338, 0.000)
Er (0.394, 0.821, 0.500)
Er (0.606, 0.179, 0.500)
Er (0.662, 0.662, 0.000)
Er (0.821, 0.394, 0.500)
Er (0.871, 0.871, 0.000)


5.
The following is a simulated XRD peak list of CeMg3Hg3. It was derived from a crystal structure in Alexandria, relaxed with GGA-PBE, using Cu Kα.

The 8 most intense peaks (5° ≤ 2θ ≤ 70°), low angle first:
d/Å  Position (°2θ)  I_rel
7.609  11.63  54
3.306  26.97  38
2.876  31.10  32
2.509  35.78  25
2.495  35.99  100
1.891  48.12  19
1.446  64.43  19
1.385  67.66  18

Atomic structure:
a = 8.787 Å, b = 8.787 Å, c = 5.019 Å
α = 90.00°, β = 90.00°, γ = 120.00°
Atoms (fractional coordinates):
Ce (0.333, 0.667, 0.250)
Ce (0.667, 0.333, 0.750)
Mg (0.001, 0.773, 0.750)
Mg (0.227, 0.228, 0.750)
Mg (0.228, 0.001, 0.250)
Mg (0.772, 0.999, 0.750)
Mg (0.773, 0.772, 0.250)
Mg (0.999, 0.227, 0.250)
Hg (0.081, 0.452, 0.750)
Hg (0.371, 0.919, 0.750)
Hg (0.452, 0.371, 0.250)
Hg (0.548, 0.629, 0.750)
Hg (0.629, 0.081, 0.250)
Hg (0.919, 0.548, 0.250)


6.
The following is a simulated XRD peak list of Mg2Tl2Pb5. It was derived from a crystal structure in Alexandria, relaxed with GGA-PBE, using Cu Kα.

The 8 most intense peaks (5° ≤ 2θ ≤ 70°), low angle first:
d/Å  Position (°2θ)  I_rel
3.441  25.89  27
2.807  31.88  99
2.729  32.81  100
2.616  34.28  44
2.327  38.69  29
2.284  39.45  32
1.721  53.24  26
1.630  56.45  24

Atomic structure:
a = 5.906 Å, b = 5.906 Å, c = 11.272 Å
α = 96.33°, β = 96.33°, γ = 45.51°
Atoms (fractional coordinates):
Mg (0.202, 0.202, 0.101)
Mg (0.798, 0.798, 0.899)
Tl (0.335, 0.335, 0.410)
Tl (0.665, 0.665, 0.590)
Pb (0.101, 0.101, 0.806)
Pb (0.385, 0.385, 0.707)
Pb (0.500, 0.500, 0.000)
Pb (0.615, 0.615, 0.293)
Pb (0.899, 0.899, 0.194)


7.
The following is a simulated XRD peak list of Al3CuAu4. It was derived from a crystal structure in Alexandria, relaxed with GGA-PBE, using Cu Kα.

The 8 most intense peaks (5° ≤ 2θ ≤ 70°), low angle first:
d/Å  Position (°2θ)  I_rel
3.228  27.64  30
3.158  28.26  57
2.257  39.94  100
2.233  40.39  24
2.233  40.40  24
1.837  49.62  19
1.579  58.45  17
1.412  66.17  11

Atomic structure:
a = 13.649 Å, b = 4.467 Å, c = 4.465 Å
α = 90.00°, β = 108.93°, γ = 90.00°
Atoms (fractional coordinates):
Al (0.000, 0.000, 0.000)
Al (0.246, 0.500, 0.746)
Al (0.254, 0.000, 0.254)
Al (0.500, 0.500, 0.000)
Al (0.746, 0.000, 0.746)
Al (0.754, 0.500, 0.254)
Cu (0.000, 0.500, 0.500)
Cu (0.500, 0.000, 0.500)
Au (0.126, 0.000, 0.626)
Au (0.126, 0.500, 0.126)
Au (0.374, 0.000, 0.874)
Au (0.374, 0.500, 0.374)
Au (0.626, 0.000, 0.126)
Au (0.626, 0.500, 0.626)
Au (0.874, 0.000, 0.374)
Au (0.874, 0.500, 0.874)


8.
The following is a simulated XRD peak list of Dy3Zn2Rh. It was derived from a crystal structure in Alexandria, relaxed with GGA-PBE, using Cu Kα.

The 8 most intense peaks (5° ≤ 2θ ≤ 70°), low angle first:
d/Å  Position (°2θ)  I_rel
3.534  25.20  13
3.499  25.46  6
2.499  35.93  52
2.486  36.12  100
1.767  51.73  18
1.749  52.30  8
1.440  64.71  36
1.433  65.09  16

Atomic structure:
a = 3.534 Å, b = 3.534 Å, c = 10.496 Å
α = 90.00°, β = 90.00°, γ = 90.00°
Atoms (fractional coordinates):
Dy (0.000, 0.000, 0.000)
Dy (0.000, 0.000, 0.345)
Dy (0.000, 0.000, 0.655)
Zn (0.500, 0.500, 0.168)
Zn (0.500, 0.500, 0.832)
Rh (0.500, 0.500, 0.500)


9.
The following is a simulated XRD peak list of Cs2TbSnS4. It was derived from a crystal structure in Alexandria, relaxed with GGA-PBE, using Cu Kα.

The 8 most intense peaks (5° ≤ 2θ ≤ 70°), low angle first:
d/Å  Position (°2θ)  I_rel
6.352  13.94  57
3.777  23.55  42
3.694  24.09  100
3.654  24.36  44
3.168  28.17  43
3.107  28.73  66
2.655  33.76  54
2.172  41.58  46

Atomic structure:
a = 14.780 Å, b = 13.153 Å, c = 8.287 Å
α = 83.88°, β = 62.23°, γ = 33.89°
Atoms (fractional coordinates):
Cs (0.056, 0.056, 0.694)
Cs (0.306, 0.306, 0.944)
Cs (0.694, 0.694, 0.056)
Cs (0.944, 0.944, 0.306)
Tb (0.125, 0.125, 0.125)
Tb (0.875, 0.875, 0.875)
Sn (0.375, 0.375, 0.375)
Sn (0.625, 0.625, 0.625)
S (0.022, 0.331, 0.422)
S (0.274, 0.578, 0.669)
S (0.331, 0.022, 0.726)
S (0.422, 0.726, 0.022)
S (0.578, 0.274, 0.978)
S (0.669, 0.978, 0.274)
S (0.726, 0.422, 0.331)
S (0.978, 0.669, 0.578)


10.
The following is a simulated XRD peak list of Tm12Co5Pb. It was derived from a crystal structure in Alexandria, relaxed with GGA-PBE, using Cu Kα.

The 8 most intense peaks (5° ≤ 2θ ≤ 70°), low angle first:
d/Å  Position (°2θ)  I_rel
2.945  30.36  29
2.927  30.54  35
2.719  32.94  100
2.559  35.06  51
2.512  35.74  51
2.484  36.17  42
2.314  38.92  27
1.510  61.41  27

Atomic structure:
a = 8.168 Å, b = 8.168 Å, c = 8.168 Å
α = 111.00°, β = 110.90°, γ = 106.55°
Atoms (fractional coordinates):
Tm (0.017, 0.211, 0.806)
Tm (0.185, 0.288, 0.473)
Tm (0.185, 0.712, 0.897)
Tm (0.313, 0.006, 0.694)
Tm (0.313, 0.619, 0.306)
Tm (0.405, 0.211, 0.194)
Tm (0.595, 0.789, 0.806)
Tm (0.687, 0.381, 0.694)
Tm (0.687, 0.994, 0.306)
Tm (0.815, 0.288, 0.103)
Tm (0.815, 0.712, 0.527)
Tm (0.983, 0.789, 0.194)
Co (0.000, 0.000, 0.000)
Co (0.113, 0.613, 0.500)
Co (0.377, 0.000, 0.377)
Co (0.623, 0.000, 0.623)
Co (0.887, 0.387, 0.500)
Pb (0.500, 0.500, 0.000)


11.
The following is a simulated XRD peak list of CrSbCl2. It was derived from a crystal structure in Alexandria, relaxed with GGA-PBE, using Cu Kα.

The 8 most intense peaks (5° ≤ 2θ ≤ 70°), low angle first:
d/Å  Position (°2θ)  I_rel
6.637  13.34  100
5.343  16.59  36
4.718  18.81  87
3.765  23.63  42
3.219  27.71  41
2.696  33.23  77
2.655  33.76  74
2.060  43.96  33

Atomic structure:
a = 13.631 Å, b = 3.318 Å, c = 5.486 Å
α = 90.00°, β = 103.13°, γ = 90.00°
Atoms (fractional coordinates):
Cr (0.000, 0.000, 0.000)
Cr (0.500, 0.500, 0.000)
Sb (0.158, 0.500, 0.286)
Sb (0.658, 0.000, 0.286)
Cl (0.093, 0.500, 0.684)
Cl (0.377, 0.000, 0.941)
Cl (0.593, 0.000, 0.684)
Cl (0.877, 0.500, 0.941)


12.
The following is a simulated XRD peak list of Ag7PtAu3. It was derived from a crystal structure in Alexandria, relaxed with GGA-PBE, using Cu Kα.

The 8 most intense peaks (5° ≤ 2θ ≤ 70°), low angle first:
d/Å  Position (°2θ)  I_rel
4.233  20.99  41
2.558  35.08  100
2.507  35.82  90
2.231  40.42  98
2.202  40.99  93
2.157  41.89  22
1.790  51.01  65
1.412  66.18  39

Atomic structure:
a = 7.013 Å, b = 7.013 Å, c = 5.117 Å
α = 110.66°, β = 110.66°, γ = 91.28°
Atoms (fractional coordinates):
Ag (0.000, 0.000, 0.000)
Ag (0.087, 0.581, 0.334)
Ag (0.322, 0.322, 0.833)
Ag (0.419, 0.913, 0.666)
Ag (0.581, 0.087, 0.334)
Ag (0.678, 0.678, 0.167)
Ag (0.913, 0.419, 0.666)
Pt (0.000, 0.000, 0.500)
Au (0.267, 0.733, 0.000)
Au (0.500, 0.500, 0.500)
Au (0.733, 0.267, 0.000)


13.
The following is a simulated XRD peak list of Cs3Cd6Hg. It was derived from a crystal structure in Alexandria, relaxed with GGA-PBE, using Cu Kα.

The 8 most intense peaks (5° ≤ 2θ ≤ 70°), low angle first:
d/Å  Position (°2θ)  I_rel
3.453  25.80  32
3.165  28.20  100
3.136  28.46  28
3.082  28.97  28
2.929  30.52  34
2.762  32.42  33
2.035  44.53  27
1.839  49.57  25

Atomic structure:
a = 8.307 Å, b = 8.307 Å, c = 7.204 Å
α = 93.88°, β = 93.88°, γ = 49.63°
Atoms (fractional coordinates):
Cs (0.000, 0.000, 0.000)
Cs (0.418, 0.418, 0.708)
Cs (0.582, 0.582, 0.292)
Cd (0.080, 0.508, 0.189)
Cd (0.191, 0.191, 0.486)
Cd (0.492, 0.920, 0.811)
Cd (0.508, 0.080, 0.189)
Cd (0.809, 0.809, 0.514)
Cd (0.920, 0.492, 0.811)
Hg (0.000, 0.000, 0.500)